Ba2DyCoCu2O7: calculated powder diffractogram (Cu Kα), based on a GGA+U-relaxed structure.

Structure:
```
Ba2DyCoCu2O7
1.0
3.8564 0.0000 0.0000
0.0000 3.9121 0.0000
0.0000 0.0000 11.8555
Ba Dy Co Cu O
2 1 1 2 7
Cartesian
0.0000 0.0000 2.1806
0.0000 0.0000 9.6750
0.0000 0.0000 5.9278
1.9282 1.9561 0.0000
1.9282 1.9561 4.2732
1.9282 1.9561 7.5823
0.0000 1.9561 4.4948
0.0000 1.9561 7.3608
1.9282 0.0000 0.0000
1.9282 0.0000 4.4901
1.9282 0.0000 7.3654
1.9282 1.9561 1.8061
1.9282 1.9561 10.0494
```

Most intense lines, 2θ = 10–80°, by angle:
d 2.780, I = 90.2
d 2.760, I = 100.0
d 2.746, I = 97.3
d 2.255, I = 33.5
d 1.596, I = 37.6
d 1.584, I = 33.3

---

MnP2O7: calculated powder diffractogram (Cu Kα), based on a GGA+U-relaxed structure.

Structure:
```
MnP2O7
1.0
6.9357 0.0000 0.0000
0.0000 8.6130 0.0000
-2.9023 0.0000 8.9561
Mn P O
4 8 28
Cartesian
0.4442 0.5844 2.8652
-1.0070 3.7221 7.3433
5.0404 4.8909 1.6128
3.5893 8.0286 6.0908
-2.5753 6.2120 8.6660
-1.1242 6.7075 4.1880
2.1892 6.4076 2.1891
0.7380 6.5120 6.6672
3.2954 2.1011 2.2889
1.8443 2.2054 6.7670
5.1576 1.9055 4.7681
6.6087 2.4010 0.2901
-1.0008 5.3809 3.4536
-2.4520 7.5387 7.9317
-2.3526 5.0135 7.7209
-0.9014 7.9060 3.2428
-0.4294 1.8343 4.0404
-1.8805 2.4722 8.5185
1.5011 6.0719 0.7914
0.0500 6.8476 5.2694
1.7914 1.9646 2.5436
0.3403 2.3419 7.0216
0.3651 5.0930 7.0998
1.8162 7.8265 2.6218
1.8034 5.3543 3.2314
0.3523 7.5652 7.7094
3.6811 1.0478 1.2467
2.2300 3.2587 5.7247
2.2172 0.7865 6.3343
3.6684 3.5200 1.8563
3.6932 6.2712 1.9344
2.2420 6.6484 6.4125
3.9835 1.7654 3.6866
2.5323 2.5411 8.1647
5.9140 6.1408 0.4376
4.4629 6.7787 4.9156
4.9349 0.7070 5.7132
6.3860 3.5995 1.2352
6.4854 1.0744 1.0244
5.0343 3.2321 5.5025
```

Most intense lines, 2θ = 10–80°, by angle:
d 6.208, I = 44.6
d 4.105, I = 71.6
d 3.881, I = 32.0
d 3.267, I = 80.5
d 3.074, I = 100.0
d 2.968, I = 55.9

---

MoCl5O: calculated powder diffractogram (Cu Kα), based on a GGA+U-relaxed structure.

Structure:
```
MoCl5O
1.0
8.3102 0.0000 0.0000
0.0000 8.5569 0.0000
-2.3774 0.0000 24.4209
Mo Cl O
8 40 8
Cartesian
1.4862 0.9795 2.8745
0.2975 3.2989 15.0849
0.3028 4.5732 21.1435
1.4915 8.2622 8.9331
4.4413 0.2947 15.4878
5.6300 3.9837 3.2774
5.6353 5.2580 9.3360
4.4466 7.5774 21.5464
-0.0325 1.3620 8.3481
-1.2212 2.9164 20.5585
-0.1636 1.1005 14.5967
1.0251 3.1780 2.3862
-0.2989 5.6596 19.1964
0.8898 7.1758 6.9859
1.9149 0.6374 0.6492
0.7262 3.6410 12.8596
1.3897 4.4315 6.1594
0.2010 8.4038 18.3698
1.9603 5.8215 0.5204
0.7716 7.0138 12.7309
0.9317 0.3328 11.1440
-0.2570 3.9457 23.3544
2.0044 1.7976 5.0228
0.8157 2.4808 17.2332
2.1043 6.2373 9.8309
0.9156 6.5981 22.0413
1.7683 5.0002 15.5971
2.9570 7.8351 3.3867
2.9758 0.7218 21.0342
4.1645 3.5567 8.8238
5.0173 1.9588 2.3796
3.8285 2.3196 14.5900
5.1171 6.0761 7.1877
3.9284 6.7593 19.3981
6.1898 4.6112 1.0665
5.0011 8.2241 13.2769
5.1613 1.5431 11.6900
3.9725 2.7354 23.9005
5.7318 0.1531 6.0511
4.5431 4.1253 18.2615
5.2066 4.9159 11.5613
4.0179 7.9195 23.7717
5.0430 1.3811 17.4350
6.2317 2.8973 5.2245
4.9077 5.3789 22.0346
6.0965 7.4564 9.8242
7.1540 5.6405 3.8624
5.9653 7.1949 16.0728
-0.0358 0.2736 3.0604
-1.2245 4.0049 15.2708
2.9714 0.4585 8.6425
1.7827 3.8199 20.8530
4.1501 4.7370 3.5679
2.9614 8.0984 15.7784
7.1573 4.5520 9.1501
5.9686 8.2833 21.3605
```

Most intense lines, 2θ = 10–80°, by angle:
d 7.007, I = 82.6
d 6.105, I = 70.7
d 5.874, I = 77.3
d 5.688, I = 60.9
d 4.970, I = 60.3
d 4.135, I = 100.0

---

LuTlW2O8: calculated powder diffractogram (Cu Kα), based on a GGA+U-relaxed structure.

Structure:
```
LuTlW2O8
1.0
5.4149 -5.2364 0.0000
5.4149 5.2364 0.0000
-4.8116 0.0000 5.6944
Lu Tl W O
2 2 4 16
Cartesian
1.8062 2.8948 4.2708
4.2120 -2.8948 1.4236
4.2120 3.1109 1.4236
1.8062 -3.1109 4.2708
-0.4612 0.0525 4.4341
1.9446 -0.0525 1.5869
4.0736 0.0525 4.1075
6.4794 -0.0525 1.2603
0.4610 0.9131 1.0903
-0.6300 1.6466 3.5054
-1.9448 -0.9131 3.9375
3.0908 0.7463 0.3243
2.6143 1.1624 3.0595
1.7757 -1.6466 0.6582
0.6850 -0.7463 3.1715
0.9982 1.1624 5.4821
5.0200 -1.1624 0.2123
5.3332 0.7463 2.5229
4.2425 1.6466 5.0362
3.4040 -1.1624 2.6349
2.9274 -0.7463 5.3701
7.9630 0.9131 1.7569
6.6482 -1.6466 2.1890
5.5572 -0.9131 4.6041
```

Most intense lines, 2θ = 10–80°, by angle:
d 3.246, I = 100.0
d 3.216, I = 32.2
d 3.169, I = 22.3
d 3.034, I = 99.1
d 2.847, I = 43.6
d 2.692, I = 23.1

---

NaVSi2O6: calculated powder diffractogram (Cu Kα), based on a GGA+U-relaxed structure.

Structure:
```
NaVSi2O6
1.0
4.9027 -4.4335 0.0000
4.9027 4.4335 0.0000
-1.5764 0.0000 5.1462
Na V Si O
2 2 4 12
Cartesian
3.7204 2.6516 3.8596
4.5086 -2.6516 1.2865
4.5086 0.8378 1.2865
3.7204 -0.8378 3.8596
0.8476 0.7991 3.8963
1.6358 -0.7991 1.3232
6.5932 0.7991 3.8229
7.3813 -0.7991 1.2498
3.0742 2.1725 1.5769
-0.0892 0.0586 5.0477
0.6990 -0.0586 2.4746
2.4180 0.7083 4.3822
5.9430 2.1725 0.9962
3.2062 -0.7083 1.8091
5.0228 0.7083 3.3370
2.2860 -2.1725 4.1500
5.8110 -0.7083 0.7639
7.5300 0.0586 2.6716
8.3182 -0.0586 0.0985
5.1548 -2.1725 3.5693
```

Most intense lines, 2θ = 10–80°, by angle:
d 6.442, I = 29.1
d 3.017, I = 100.0
d 2.947, I = 47.6
d 2.572, I = 65.0
d 2.512, I = 36.2
d 1.417, I = 28.2

---

MgFe6O10F2: calculated powder diffractogram (Cu Kα), based on a GGA+U-relaxed structure.

Structure:
```
MgFe6O10F2
1.0
5.6893 0.0000 0.0000
0.8318 5.8700 0.0000
1.9189 2.0460 6.4896
Mg Fe O F
1 6 10 2
Cartesian
0.0000 0.0000 0.0000
3.8599 6.0769 4.3982
3.3032 4.7520 1.1813
5.1059 3.0204 5.5127
4.5199 1.6875 2.3458
6.7529 4.3562 3.3503
6.0578 2.9881 0.0494
1.3231 4.2377 1.3514
2.8858 5.0552 3.0648
3.9945 4.5630 5.6838
4.6614 7.4140 5.7997
3.7818 0.3795 0.8338
4.4077 3.2035 1.0991
5.5275 5.8970 3.4404
5.4140 2.9060 3.6012
6.9777 3.7510 5.3284
7.8854 6.4694 5.2646
0.6137 1.3271 1.3220
2.8014 1.9186 3.2175
```

Most intense lines, 2θ = 10–80°, by angle:
d 3.804, I = 95.3
d 3.223, I = 100.0
d 2.535, I = 24.0
d 2.514, I = 27.9
d 2.500, I = 26.6
d 2.327, I = 34.6

---

LiFeP3O9: calculated powder diffractogram (Cu Kα), based on a GGA+U-relaxed structure.

Structure:
```
LiFeP3O9
1.0
8.4962 0.0000 0.0000
0.0000 8.6208 0.0000
0.0000 0.0000 8.9788
Li Fe P O
4 4 12 36
Cartesian
1.1044 1.2241 1.4778
3.1437 7.3967 5.9672
5.3526 3.0863 7.5010
7.3918 5.5345 3.0116
1.2957 7.5121 3.5028
2.9524 1.1087 7.9922
5.5438 5.4192 5.4760
7.2005 3.2017 0.9866
0.2438 5.8893 6.1153
1.6020 4.5017 1.7185
1.6960 1.6537 5.0938
2.5521 6.9671 0.6044
2.6461 4.1191 6.2079
4.0044 2.7315 1.6259
4.4919 7.0419 2.8635
5.8501 8.4296 7.2603
5.9441 2.6567 3.8850
6.8003 5.9641 8.3744
6.8943 0.1913 2.7709
8.2525 1.5789 7.3529
0.3335 1.9983 5.9145
0.7687 3.3475 1.2142
0.8757 1.1051 8.2440
1.0805 5.3183 2.8678
1.1087 7.0024 5.5822
1.1806 4.6640 6.5838
1.3411 1.1454 3.7282
1.6487 7.8271 1.4530
1.9408 5.4754 0.4593
2.3073 3.1455 4.9488
2.5994 0.7937 5.9424
2.9070 7.4755 8.2176
3.0675 3.9569 2.0944
3.1394 1.6184 1.0928
3.1676 3.3025 7.3572
3.3724 7.5158 3.7546
3.4794 5.2733 5.7036
3.9147 6.6225 1.4251
4.5816 2.3121 3.0643
5.0168 0.9629 7.7646
5.1238 3.2053 0.7348
5.3286 7.6129 6.1110
5.3568 5.9288 3.3966
5.4287 8.2673 2.3950
5.5892 3.1651 5.2506
5.8968 5.1042 7.5258
6.1889 7.4559 8.5195
6.5554 1.1650 4.0301
6.8475 3.5167 3.0364
7.1551 5.4558 0.7612
7.3156 0.3535 6.8844
7.3875 2.6920 7.8860
7.4157 1.0079 1.6216
7.6206 5.4155 5.2242
7.7275 7.6579 3.2752
8.1628 6.3087 7.5537
```

Most intense lines, 2θ = 10–80°, by angle:
d 5.018, I = 100.0
d 3.980, I = 96.9
d 3.886, I = 62.1
d 3.606, I = 61.8
d 3.534, I = 60.3
d 2.722, I = 63.8